Theoretical powder XRD pattern
Compound: BaLiTmSe3
Radiation: CuKα
Structure: DFT lattice parameters and positions (PBE)

Atomic structure:
a = 7.3351 Å, b = 7.3351 Å, c = 10.6249 Å
α = 90.00°, β = 90.00°, γ = 146.45°
Atoms (fractional coordinates):
Ba (0.2460, 0.7540, 0.7500)
Ba (0.7540, 0.2460, 0.2500)
Li (0.0296, 0.9704, 0.2500)
Li (0.9704, 0.0296, 0.7500)
Tm (0.5000, 0.5000, 0.0000)
Tm (0.5000, 0.5000, 0.5000)
Se (0.1320, 0.8680, 0.0565)
Se (0.1320, 0.8680, 0.4435)
Se (0.4323, 0.5677, 0.2500)
Se (0.5677, 0.4323, 0.7500)
Se (0.8680, 0.1320, 0.5565)
Se (0.8680, 0.1320, 0.9435)

Largest 8 diffraction maxima, by angle, 10 to 80 degrees two-theta:
- 21.0°, d 4.237, intensity 99
- 28.4°, d 3.140, intensity 93
- 29.7°, d 3.012, intensity 95
- 33.1°, d 2.703, intensity 66
- 33.6°, d 2.667, intensity 46
- 33.7°, d 2.656, intensity 47
- 42.2°, d 2.142, intensity 100
- 42.7°, d 2.117, intensity 65